For MgMn3FeO8, a crystal structure in the Materials Project, relaxed with GGA+U gives the theoretical powder XRD pattern in this record (Cu Kα X-rays).
Kinematic intensities with the Lorentz-polarization factor, no thermal factor.

Peak list (10 most intense, 2θ = 5–70°, in order of rising 2θ)
2θ/deg, I (rel.)
12.27, 100
17.96, 52
24.05, 8
33.00, 8
37.69, 6
39.22, 19
39.64, 8
46.30, 25
63.51, 8
64.97, 7

Structure:
a b c (Å): 5.859 5.859 7.962
angles (deg): 111.54 111.54 60.00
Element x y z (fractional)
Mg  0.000  0.000  0.000
Mn  0.060  0.060  0.685
Mn  0.060  0.566  0.685
Mn  0.566  0.060  0.685
Fe  0.128  0.128  0.384
O  0.247  0.792  0.830
O  0.273  0.273  0.819
O  0.331  0.867  0.528
O  0.332  0.332  0.528
O  0.792  0.247  0.830
O  0.792  0.792  0.830
O  0.849  0.849  0.545
O  0.867  0.331  0.528